Computed powder diffraction line list of Sr3AsN for Cu Kα, from a cell relaxed with PBE.
Peak positions follow from Bragg's law for the DFT cell and can differ from measured ones.

Most intense lines, 10° ≤ 2θ ≤ 80°, in order of rising 2θ:
| d_spacing | 2θ/deg | intensity |
| --- | --- | --- |
| 2.957 | 30.2 | 100 |
| 2.561 | 35.0 | 59 |
| 1.811 | 50.4 | 41 |
| 1.544 | 59.9 | 43 |
| 1.479 | 62.9 | 14 |
| 1.280 | 74.0 | 6 |

Structural model:
Cell lengths 5.1217, 5.1217, 5.1217 Å; angles 90.00, 90.00, 90.00 degrees
Atoms (fractional coordinates):
Sr 0.0000 0.0000 0.5000
Sr 0.0000 0.5000 0.0000
Sr 0.5000 0.0000 0.0000
As 0.5000 0.5000 0.5000
N 0.0000 0.0000 0.0000